Diffraction record for MoC4O4F6. The powder diffractogram is simulated, not measured: it uses a DFT-relaxed cell (GGA+U, the Materials Project) and Cu Kα (λ = 1.5418 Å).
Neutral-atom scattering factors, no anomalous dispersion.

Main lines, in order of falling intensity (10 to 90 degrees two-theta):
| (hkl) | d_spacing | 2θ/deg | I/Imax |
| --- | --- | --- | --- |
| 0 1 2 | 4.121 | 21.56 | 100 |
| 0 1 0 | 8.548 | 10.35 | 94 |
| 0 1 1 | 6.354 | 13.94 | 76 |
| 1 -1 1 | 4.051 | 21.94 | 66 |
| 1 -1 0 | 4.462 | 19.90 | 41 |
| 1 -3 1 | 2.314 | 38.92 | 39 |
| 0 2 3 | 2.532 | 35.45 | 33 |
| 0 2 -1 | 3.860 | 23.04 | 28 |
| 1 1 0 | 5.365 | 16.52 | 24 |
| 1 1 -2 | 3.449 | 25.83 | 24 |

```
data_MoC4O4F6
_cell_length_a 6.0123
_cell_length_b 8.7179
_cell_length_c 9.3284
_cell_angle_alpha 88.63
_cell_angle_beta 87.87
_cell_angle_gamma 78.71
_symmetry_space_group_name_H-M 'P -1'
_symmetry_Int_Tables_number 2
_symmetry_space_group_name_Hall '-P 1'
loop_
_atom_site_label
_atom_site_fract_x
_atom_site_fract_y
_atom_site_fract_z
Mo1 0.1930 0.0843 0.4512
C1 0.0306 0.8582 0.2417
C2 0.0392 0.7787 0.0927
C3 0.3094 0.7561 0.6193
C4 0.4795 0.6222 0.6941
O1 0.1047 0.7453 0.6264
O2 0.1212 0.1743 0.6716
O3 0.1759 0.9419 0.2595
O4 0.3984 0.8640 0.5597
F1 0.1288 0.6236 0.1074
F2 0.1700 0.8401 0.9943
F3 0.1716 0.2060 0.9591
F4 0.3527 0.4437 0.4015
F5 0.3770 0.5093 0.7486
F6 0.4182 0.3179 0.1986
```



Diffraction record for NiSO9. The powder diffractogram is simulated, not measured: it uses a DFT-relaxed cell (GGA+U, the Materials Project) and Cu Kα (λ = 1.5418 Å).
Neutral-atom scattering factors, no anomalous dispersion.

Main lines, in order of falling intensity (10 to 90 degrees two-theta):
| (hkl) | d_spacing | 2θ/deg | I/Imax |
| --- | --- | --- | --- |
| 0 1 2 | 3.707 | 24.00 | 100 |
| 1 1 0 | 4.378 | 20.28 | 90 |
| 2 0 2 | 2.830 | 31.62 | 39 |
| 1 0 1 | 5.659 | 15.66 | 38 |
| 4 -1 2 | 1.885 | 48.27 | 23 |
| 2 -1 3 | 2.378 | 37.84 | 19 |
| 3 -1 4 | 1.707 | 53.70 | 17 |
| 4 1 0 | 1.655 | 55.53 | 11 |
| 4 -2 3 | 1.732 | 52.85 | 10 |
| 3 -1 1 | 2.716 | 32.98 | 8 |

```
data_NiSO9
_cell_length_a 8.7567
_cell_length_b 8.7567
_cell_length_c 8.4999
_cell_angle_alpha 90.00
_cell_angle_beta 90.00
_cell_angle_gamma 120.00
_symmetry_space_group_name_H-M 'R 3'
_symmetry_Int_Tables_number 146
_symmetry_space_group_name_Hall 'R 3'
loop_
_atom_site_label
_atom_site_fract_x
_atom_site_fract_y
_atom_site_fract_z
Ni1 0.0000 0.0000 0.0000
S1 0.0000 0.0000 0.4505
O1 0.0236 0.8261 0.9070
O2 0.0694 0.1872 0.4504
O3 0.1890 0.4551 0.7582
```



Diffraction record for Li3MoP2O9. The powder diffractogram is simulated, not measured: it uses a DFT-relaxed cell (GGA+U, the Materials Project) and Cu Kα (λ = 1.5418 Å).
Neutral-atom scattering factors, no anomalous dispersion.

Main lines, in order of falling intensity (10 to 90 degrees two-theta):
| (hkl) | d_spacing | 2θ/deg | I/Imax |
| --- | --- | --- | --- |
| 0 1 0 | 7.200 | 12.29 | 100 |
| 0 2 1 | 3.219 | 27.72 | 64 |
| 0 1 1 | 5.091 | 17.42 | 44 |
| 1 1 0 | 4.912 | 18.06 | 17 |
| 2 -1 1 | 3.142 | 28.41 | 17 |
| 2 0 -1 | 2.545 | 35.26 | 16 |
| 2 0 2 | 3.199 | 27.89 | 14 |
| 0 3 1 | 2.277 | 39.58 | 12 |
| 2 1 1 | 3.278 | 27.20 | 10 |
| 2 2 1 | 2.611 | 34.35 | 9 |

```
data_Li3MoP2O9
_cell_length_a 7.1750
_cell_length_b 7.2160
_cell_length_c 8.0197
_cell_angle_alpha 88.78
_cell_angle_beta 63.77
_cell_angle_gamma 86.94
_symmetry_space_group_name_H-M 'P 1'
_symmetry_Int_Tables_number 1
_symmetry_space_group_name_Hall 'P 1'
loop_
_atom_site_label
_atom_site_fract_x
_atom_site_fract_y
_atom_site_fract_z
Li1 0.0000 0.0000 0.0000
Li2 0.0871 0.2535 0.3095
Li3 0.2403 0.4915 0.6211
Li4 0.4999 0.4204 0.0623
Li5 0.6717 0.0835 0.5617
Li6 0.8593 0.7492 0.8104
Mo1 0.0916 0.7534 0.3013
Mo2 0.5804 0.7459 0.3211
P1 0.1892 0.0461 0.5669
P2 0.4840 0.9929 0.0062
P3 0.7090 0.5070 0.6148
P4 0.9670 0.4528 0.0564
O1 0.0417 0.5527 0.8718
O2 0.0726 0.9457 0.7487
O3 0.0857 0.5194 0.1732
O4 0.0931 0.9905 0.4293
O5 0.1933 0.2538 0.5617
O6 0.2836 0.8668 0.0699
O7 0.3249 0.6412 0.3434
O8 0.4061 0.1765 0.1068
O9 0.4278 0.9652 0.4744
O10 0.5428 0.6035 0.5529
O11 0.5986 0.9892 0.7977
O12 0.6195 0.5112 0.8233
O13 0.6318 0.8790 0.0782
O14 0.7271 0.5199 0.1713
O15 0.7854 0.3230 0.5134
O16 0.8436 0.8510 0.2820
O17 0.8997 0.6435 0.5448
O18 0.9869 0.2447 0.0640
```



Diffraction record for RbW3O9. The powder diffractogram is simulated, not measured: it uses a DFT-relaxed cell (GGA+U, the Materials Project) and Cu Kα (λ = 1.5418 Å).
Neutral-atom scattering factors, no anomalous dispersion.

Main lines, in order of falling intensity (10 to 90 degrees two-theta):
| (hkl) | d_spacing | 2θ/deg | I/Imax |
| --- | --- | --- | --- |
| 2 0 0 | 3.257 | 27.38 | 100 |
| 1 0 2 | 3.328 | 26.79 | 36 |
| 2 0 2 | 2.492 | 36.04 | 33 |
| 0 0 2 | 3.871 | 22.97 | 33 |
| 2 0 4 | 1.664 | 55.20 | 29 |
| 2 2 0 | 1.880 | 48.41 | 25 |
| 1 1 2 | 2.697 | 33.21 | 21 |
| 1 0 0 | 6.514 | 13.59 | 20 |
| 2 2 4 | 1.349 | 69.72 | 16 |
| 4 0 0 | 1.628 | 56.51 | 15 |

```
data_RbW3O9
_cell_length_a 7.5215
_cell_length_b 7.5215
_cell_length_c 7.7420
_cell_angle_alpha 90.00
_cell_angle_beta 90.00
_cell_angle_gamma 120.00
_symmetry_space_group_name_H-M 'P 63 m c'
_symmetry_Int_Tables_number 186
_symmetry_space_group_name_Hall 'P 6c -2c'
loop_
_atom_site_label
_atom_site_fract_x
_atom_site_fract_y
_atom_site_fract_z
Rb1 0.0000 0.0000 0.0000
W1 0.0001 0.5001 0.2378
O1 0.0260 0.5130 0.4879
O2 0.2100 0.4200 0.2221
O3 0.2104 0.4209 0.7534
```



Diffraction record for Li4Ti5Co3O16. The powder diffractogram is simulated, not measured: it uses a DFT-relaxed cell (GGA+U, the Materials Project) and Cu Kα (λ = 1.5418 Å).
Neutral-atom scattering factors, no anomalous dispersion.

Main lines, in order of falling intensity (10 to 90 degrees two-theta):
| (hkl) | d_spacing | 2θ/deg | I/Imax |
| --- | --- | --- | --- |
| 0 1 1 | 4.498 | 19.74 | 100 |
| 0 0 2 | 4.799 | 18.49 | 72 |
| 2 2 3 | 1.991 | 45.57 | 42 |
| 1 0 3 | 2.709 | 33.07 | 40 |
| 2 0 -1 | 2.458 | 36.56 | 37 |
| 1 2 2 | 2.509 | 35.78 | 31 |
| 2 0 2 | 2.247 | 40.14 | 30 |
| 0 1 -2 | 3.492 | 25.50 | 28 |
| 2 2 5 | 1.534 | 60.35 | 24 |
| 0 2 -3 | 1.995 | 45.46 | 22 |

```
data_Li4Ti5Co3O16
_cell_length_a 5.8643
_cell_length_b 5.8832
_cell_length_c 9.5982
_cell_angle_alpha 89.89
_cell_angle_beta 89.93
_cell_angle_gamma 60.20
_symmetry_space_group_name_H-M 'P 1'
_symmetry_Int_Tables_number 1
_symmetry_space_group_name_Hall 'P 1'
loop_
_atom_site_label
_atom_site_fract_x
_atom_site_fract_y
_atom_site_fract_z
Li1 0.0000 0.0000 0.0000
Li2 0.0110 0.9925 0.4919
Li3 0.3249 0.3346 0.8974
Li4 0.6565 0.6681 0.3984
Ti1 0.3058 0.3453 0.4892
Ti2 0.6482 0.1753 0.2297
Ti3 0.6497 0.6764 0.0044
Ti4 0.8153 0.8372 0.7191
Ti5 0.8162 0.3430 0.7205
Co1 0.1592 0.1862 0.2125
Co2 0.1600 0.6549 0.2111
Co3 0.3403 0.8270 0.7112
O1 0.0057 0.9946 0.8084
O2 0.0328 0.4746 0.3575
O3 0.1682 0.6665 0.6002
O4 0.1697 0.1582 0.6014
O5 0.3340 0.8342 0.0925
O6 0.3416 0.3140 0.1036
O7 0.4872 0.0361 0.3471
O8 0.4865 0.4697 0.3494
O9 0.5131 0.5205 0.8343
O10 0.5132 0.9605 0.8342
O11 0.6678 0.6629 0.6055
O12 0.6707 0.1609 0.6032
O13 0.8124 0.3452 0.0932
O14 0.8168 0.8381 0.0919
O15 0.9586 0.5187 0.8332
O16 0.9925 0.0108 0.3031
```



Diffraction record for NaCoO2. The powder diffractogram is simulated, not measured: it uses a DFT-relaxed cell (GGA+U, the Materials Project) and Cu Kα (λ = 1.5418 Å).
Neutral-atom scattering factors, no anomalous dispersion.

Main lines, in order of falling intensity (10 to 90 degrees two-theta):
| (hkl) | d_spacing | 2θ/deg | I/Imax |
| --- | --- | --- | --- |
| 0 1 5 | 2.045 | 44.28 | 100 |
| 0 0 3 | 5.473 | 16.20 | 97 |
| 0 1 2 | 2.491 | 36.05 | 60 |
| 1 0 1 | 2.582 | 34.74 | 46 |
| 1 1 0 | 1.510 | 61.42 | 38 |
| 1 0 7 | 1.746 | 52.41 | 33 |
| 0 0 6 | 2.736 | 32.73 | 24 |
| 1 1 6 | 1.322 | 71.36 | 15 |
| 1 0 10 | 1.390 | 67.35 | 15 |
| 2 0 5 | 1.215 | 78.80 | 14 |

```
data_NaCoO2
_cell_length_a 3.0191
_cell_length_b 3.0191
_cell_length_c 16.4176
_cell_angle_alpha 90.00
_cell_angle_beta 90.00
_cell_angle_gamma 120.00
_symmetry_space_group_name_H-M 'R 3 m'
_symmetry_Int_Tables_number 160
_symmetry_space_group_name_Hall 'R 3 -2"'
loop_
_atom_site_label
_atom_site_fract_x
_atom_site_fract_y
_atom_site_fract_z
Na1 0.0000 0.0000 0.0000
Co1 0.0000 0.0000 0.8305
O1 0.0000 0.0000 0.2294
O2 0.0000 0.0000 0.4319
```



Diffraction record for Li8Ni5O10. The powder diffractogram is simulated, not measured: it uses a DFT-relaxed cell (GGA+U, the Materials Project) and Cu Kα (λ = 1.5418 Å).
Neutral-atom scattering factors, no anomalous dispersion.

Main lines, in order of falling intensity (10 to 90 degrees two-theta):
| (hkl) | d_spacing | 2θ/deg | I/Imax |
| --- | --- | --- | --- |
| 0 1 1 | 5.072 | 17.48 | 100 |
| 2 0 -1 | 2.356 | 38.21 | 62 |
| -2 1 2 | 1.837 | 49.63 | 25 |
| 1 2 -1 | 2.338 | 38.51 | 24 |
| 2 1 0 | 2.658 | 33.72 | 18 |
| -1 1 4 | 1.833 | 49.75 | 17 |
| 3 2 -2 | 1.528 | 60.62 | 15 |
| 1 3 0 | 1.825 | 49.97 | 13 |
| -1 3 1 | 1.425 | 65.49 | 10 |
| 1 1 -2 | 2.640 | 33.96 | 9 |

```
data_Li8Ni5O10
_cell_length_a 5.3160
_cell_length_b 5.9124
_cell_length_c 7.9560
_cell_angle_alpha 69.36
_cell_angle_beta 89.71
_cell_angle_gamma 63.51
_symmetry_space_group_name_H-M 'P -1'
_symmetry_Int_Tables_number 2
_symmetry_space_group_name_Hall '-P 1'
loop_
_atom_site_label
_atom_site_fract_x
_atom_site_fract_y
_atom_site_fract_z
Li1 0.0069 0.2069 0.1775
Li2 0.1877 0.7866 0.5698
Li3 0.3755 0.3872 0.9996
Li4 0.4451 0.9725 0.6401
Ni1 0.0000 0.5000 0.5000
Ni2 0.1921 0.1111 0.8955
Ni3 0.3956 0.6913 0.2929
O1 0.0332 0.1061 0.6550
O2 0.1844 0.4793 0.7533
O3 0.2253 0.7262 0.0480
O4 0.3846 0.0583 0.1449
O5 0.4315 0.3157 0.4673
```



Number 4 is which compound? RbW3O9